Starting from the PBE+U geometry in the Materials Project, the powder diffraction line list of MgFeSb4O12 was computed for Cu Kα (weighted mean of Kα1 and Kα2).
Intensities are scaled so that the largest is 100.

Cell and atoms:
```
data_MgFeSb4O12
_symmetry_space_group_name_H-M 'P 1'
_symmetry_Int_Tables_number 1
_symmetry_space_group_name_Hall 'P 1'
_cell_length_a 5.2426
_cell_length_b 5.4679
_cell_length_c 7.6471
_cell_angle_alpha 93.21
_cell_angle_beta 90.01
_cell_angle_gamma 90.08
loop_
_atom_site_label
_atom_site_type_symbol
_atom_site_fract_x
_atom_site_fract_y
_atom_site_fract_z
Mg1 Mg 0.0000 0.0000 0.0000
Fe1 Fe 0.4995 0.4960 0.0037
Sb1 Sb 0.9996 0.4301 0.2943
Sb2 Sb 0.4931 0.9329 0.2943
Sb3 Sb 0.4943 0.9211 0.7656
Sb4 Sb 0.9989 0.4208 0.7650
O1 O 0.1104 0.3851 0.0274
O2 O 0.1604 0.0851 0.7445
O3 O 0.1782 0.7450 0.3356
O4 O 0.3153 0.2471 0.3359
O5 O 0.3356 0.5841 0.7470
O6 O 0.3728 0.8954 0.0289
O7 O 0.6304 0.9271 0.5328
O8 O 0.6911 0.6209 0.2182
O9 O 0.6991 0.2152 0.8574
O10 O 0.8014 0.7207 0.8589
O11 O 0.8026 0.1189 0.2154
O12 O 0.8620 0.4288 0.5331
```

Most intense lines, 10 to 90 degrees two-theta, by angle:
- 3.818 Å, 23.30°, I 50, hkl 0 0 2
- 3.781 Å, 23.53°, I 100, hkl 1 1 0
- 2.740 Å, 32.68°, I 59, hkl 1 -1 2
- 2.730 Å, 32.81°, I 30, hkl 0 2 0
- 2.636 Å, 34.01°, I 44, hkl -1 1 2
- 1.891 Å, 48.13°, I 27, hkl 2 -2 0